Theoretical X-ray diffraction stick pattern
Compound: Cs2TmRuO6
Radiation: CuKα
Structure: a structure optimized by DFT (PBE)

Main lines, in order of rising 2θ (2θ from 5° to 70°):
index  Position (°2θ)  Rel. int.
1 0 0  15.46  51
0 1 1  22.11  56
1 1 0  26.94  100
2 0 1  35.12  34
1 0 2  35.48  45
0 2 2  45.10  35
3 0 0  47.58  19
2 1 2  53.32  35
2 2 0  55.53  17
1 3 2  67.65  16

Structural model:
Unit cell a=6.6198 b=6.6198 c=5.6391 alpha=90.00 beta=90.00 gamma=120.00
Space group P-3m1 (No. 164)
One atom of each set of equivalent atoms:
1 Cs 0.3333 0.6667 0.3406 x2
2 Tm 0.0000 0.0000 0.0000 x1
3 Ru 0.0000 0.0000 0.5000 x1
4 O 0.1326 0.2652 0.7099 x6